Entry 1:
This entry pairs a crystal structure of Ti2Bi with its simulated powder XRD pattern. Radiation: Cu Kα (λ = 1.5418 Å). Structure: a DFT-relaxed cell (PBE, Alexandria).

Peak list (8 most intense, 15 to 90 degrees two-theta, by angle)
| d/Å | I_rel |
| --- | --- |
| 4.553 | 35 |
| 3.343 | 75 |
| 2.541 | 65 |
| 2.319 | 100 |
| 2.219 | 24 |
| 1.797 | 23 |
| 1.583 | 19 |
| 1.420 | 42 |

Cell and atoms:
```
Ti2Bi
1.0
-1.7967 1.7967 4.5531
1.7967 -1.7967 4.5531
1.7967 1.7967 -4.5531
Ti Bi
2 1
Direct
0.1712 0.1712 0.0000
0.8288 0.8288 0.0000
0.5000 0.5000 0.0000
```

---

Entry 2:
This entry pairs a crystal structure of TiBi4 with its simulated powder XRD pattern. Radiation: Cu Kα (λ = 1.5418 Å). Structure: a DFT-relaxed cell (PBE, Alexandria).

Peak list (8 most intense, 15 to 90 degrees two-theta, by angle)
| d/Å | I_rel |
| --- | --- |
| 3.047 | 83 |
| 2.955 | 47 |
| 2.729 | 100 |
| 2.571 | 24 |
| 1.744 | 24 |
| 1.659 | 23 |
| 1.589 | 17 |
| 1.549 | 17 |

Cell and atoms:
```
TiBi4
1.0
-3.6855 6.7699 2.9552
3.6855 -6.7699 2.9552
3.6855 6.7699 -2.9552
Ti Bi
2 8
Direct
0.2500 0.2500 0.0000
0.7500 0.7500 0.0000
0.0808 0.6729 0.7538
0.1675 0.1564 0.3239
0.3325 0.6564 0.9888
0.4192 0.1729 0.5921
0.5808 0.8271 0.4079
0.6675 0.3436 0.0112
0.8325 0.8436 0.6761
0.9192 0.3271 0.2462
```

---

Entry 3:
This entry pairs a crystal structure of Ti8Bi9 with its simulated powder XRD pattern. Radiation: Cu Kα (λ = 1.5418 Å). Structure: a DFT-relaxed cell (PBE, Alexandria).

Peak list (8 most intense, 15 to 90 degrees two-theta, by angle)
| d/Å | I_rel |
| --- | --- |
| 3.506 | 44 |
| 3.261 | 37 |
| 3.121 | 69 |
| 2.987 | 35 |
| 2.670 | 100 |
| 2.606 | 53 |
| 2.527 | 39 |
| 2.371 | 47 |

Cell and atoms:
```
Ti8Bi9
1.0
10.3109 0.0000 0.0000
0.0000 10.3109 0.0000
0.0000 0.0000 7.4564
Ti Bi
16 18
Direct
0.0000 0.0000 0.0000
0.0000 0.5000 0.0000
0.1082 0.7500 0.1473
0.2500 0.2500 0.4253
0.2500 0.2500 0.9206
0.2500 0.6082 0.8527
0.2500 0.8918 0.8527
0.3918 0.7500 0.1473
0.5000 0.0000 0.0000
0.5000 0.5000 0.0000
0.6082 0.2500 0.8527
0.7500 0.1082 0.1473
0.7500 0.3918 0.1473
0.7500 0.7500 0.0794
0.7500 0.7500 0.5747
0.8918 0.2500 0.8527
0.0134 0.2500 0.1934
0.0848 0.0848 0.6537
0.0848 0.4152 0.6537
0.2500 0.0134 0.1934
0.2500 0.4866 0.1934
0.2500 0.7500 0.5000
0.4152 0.0848 0.6537
0.4152 0.4152 0.6537
0.4866 0.2500 0.1934
0.5134 0.7500 0.8066
0.5848 0.5848 0.3463
0.5848 0.9152 0.3463
0.7500 0.2500 0.5000
0.7500 0.5134 0.8066
0.7500 0.9866 0.8066
0.9152 0.5848 0.3463
0.9152 0.9152 0.3463
0.9866 0.7500 0.8066
```